Starting from a DFT-relaxed cell (PBE, Alexandria), the X-ray powder pattern of La2TbPr12 was computed for Cu Kα (λ = 1.5418 Å).

Top 10 peaks for 2θ = 10–90°, by intensity:
| 2θ/deg | Rel. int. |
| --- | --- |
| 30.7 | 100 |
| 30.8 | 97 |
| 27.5 | 89 |
| 30.1 | 78 |
| 31.3 | 68 |
| 38.0 | 66 |
| 28.6 | 58 |
| 33.0 | 55 |
| 53.9 | 51 |
| 20.0 | 48 |

Structure:
```
La2TbPr12
1.0
6.6930 0.0000 0.0000
0.0000 6.6930 0.0000
0.0000 0.0000 25.7391
La Tb Pr
4 2 24
direct
0.2500 0.7500 0.2356
0.2500 0.7500 0.7644
0.7500 0.2500 0.2356
0.7500 0.2500 0.7644
0.2500 0.7500 0.5000
0.7500 0.2500 0.5000
0.0622 0.5622 0.3881
0.0622 0.9378 0.6119
0.0820 0.5820 0.9379
0.0820 0.9180 0.0621
0.2500 0.2500 0.1626
0.2500 0.2500 0.2863
0.2500 0.2500 0.7137
0.2500 0.2500 0.8374
0.4180 0.5820 0.0621
0.4180 0.9180 0.9379
0.4378 0.5622 0.6119
0.4378 0.9378 0.3881
0.5622 0.0622 0.6119
0.5622 0.4378 0.3881
0.5820 0.0820 0.0621
0.5820 0.4180 0.9379
0.7500 0.7500 0.1626
0.7500 0.7500 0.2863
0.7500 0.7500 0.7137
0.7500 0.7500 0.8374
0.9180 0.0820 0.9379
0.9180 0.4180 0.0621
0.9378 0.0622 0.3881
0.9378 0.4378 0.6119
```